For PrFe2B2O7, the PBE+U geometry in Alexandria gives the theoretical XRD peak list in this record (copper Kα).
Neutral-atom scattering factors, no anomalous dispersion.

Largest 10 diffraction maxima, in order of rising 2θ, 5° ≤ 2θ ≤ 70°:
hkl 0 0 3, 2θ 10.3, 8.553 Å, I = 100; hkl 0 1 2, 2θ 21.5, 4.127 Å, I = 90; hkl 1 0 4, 2θ 24.7, 3.605 Å, I = 49; hkl 0 1 5, 2θ 26.8, 3.322 Å, I = 42; hkl 1 0 7, 2θ 31.9, 2.805 Å, I = 72; hkl 1 1 0, 2θ 35.7, 2.517 Å, I = 46; hkl 2 0 2, 2θ 42.1, 2.149 Å, I = 26; hkl 1 1 9, 2θ 48.2, 1.887 Å, I = 31; hkl 1 2 2, 2θ 56.3, 1.634 Å, I = 19; hkl 1 1 12, 2θ 56.5, 1.629 Å, I = 19

```
data_PrFe2B2O7
_space_group_name_H-M_alt 'R 3 2'
_space_group_IT_number 155
_space_group_name_Hall 'R 3 2"'
_cell_length_a 5.0331
_cell_length_b 5.0331
_cell_length_c 25.6591
_cell_angle_alpha 90.00
_cell_angle_beta 90.00
_cell_angle_gamma 120.00
loop_
_atom_site_label
_atom_site_fract_x
_atom_site_fract_y
_atom_site_fract_z
Pr1 0.0000 0.0000 0.0000
Fe1 0.0000 0.0000 0.4291
B1 0.0000 0.0000 0.2728
O1 0.0000 0.0000 0.5000
O2 0.0185 0.2840 0.2745
```